1.
This entry pairs a crystal structure of Mg2Pb with its calculated PXRD pattern. Radiation: Cu Kα X-rays. Structure: a GGA-PBE-relaxed structure.
Kinematic intensities with the Lorentz-polarization factor, no thermal factor.

Peak list (6 most intense, 2θ from 5° to 70°, low angle first)
d/Å, 2θ (°), Rel. int.
3.994, 22.3, 100.0
3.459, 25.8, 29.1
2.446, 36.7, 67.3
2.086, 43.4, 54.7
1.587, 58.1, 23.4
1.412, 66.2, 24.5

Crystal structure
```
data_Mg2Pb
_symmetry_space_group_name_H-M 'P 1'
_symmetry_Int_Tables_number 1
_cell_length_a 6.9174
_cell_length_b 6.9174
_cell_length_c 6.9174
_cell_angle_alpha 90.00
_cell_angle_beta 90.00
_cell_angle_gamma 90.00
loop_
_symmetry_equiv_pos_as_xyz
'x,y,z'
loop_
_atom_site_label
_atom_site_type_symbol
_atom_site_fract_x
_atom_site_fract_y
_atom_site_fract_z
_atom_site_occupancy
Mg1 Mg 0.2500 0.2500 0.2500 1
Mg2 Mg 0.2500 0.2500 0.7500 1
Mg3 Mg 0.2500 0.7500 0.2500 1
Mg4 Mg 0.2500 0.7500 0.7500 1
Mg5 Mg 0.7500 0.2500 0.2500 1
Mg6 Mg 0.7500 0.2500 0.7500 1
Mg7 Mg 0.7500 0.7500 0.2500 1
Mg8 Mg 0.7500 0.7500 0.7500 1
Pb1 Pb 0.0000 0.0000 0.0000 1
Pb2 Pb 0.0000 0.5000 0.5000 1
Pb3 Pb 0.5000 0.0000 0.5000 1
Pb4 Pb 0.5000 0.5000 0.0000 1
```


2.
This entry pairs a crystal structure of NdCu2Si2 with its calculated PXRD pattern. Radiation: Cu Kα X-rays. Structure: a GGA-PBE-relaxed structure.
Kinematic intensities with the Lorentz-polarization factor, no thermal factor.

Peak list (6 most intense, 2θ from 5° to 70°, low angle first)
d/Å, 2θ (°), Rel. int.
3.765, 23.6, 31.8
2.574, 34.9, 38.0
2.491, 36.1, 100.0
2.033, 44.6, 33.1
1.790, 51.0, 22.4
1.438, 64.8, 23.9

Crystal structure
```
data_NdCu2Si2
_symmetry_space_group_name_H-M 'P 1'
_symmetry_Int_Tables_number 1
_cell_length_a 4.0652
_cell_length_b 4.0652
_cell_length_c 9.9760
_cell_angle_alpha 90.00
_cell_angle_beta 90.00
_cell_angle_gamma 90.00
loop_
_symmetry_equiv_pos_as_xyz
'x,y,z'
loop_
_atom_site_label
_atom_site_type_symbol
_atom_site_fract_x
_atom_site_fract_y
_atom_site_fract_z
_atom_site_occupancy
Nd1 Nd 0.0000 0.0000 0.0000 1
Nd2 Nd 0.5000 0.5000 0.5000 1
Cu1 Cu 0.0000 0.5000 0.2500 1
Cu2 Cu 0.0000 0.5000 0.7500 1
Cu3 Cu 0.5000 0.0000 0.2500 1
Cu4 Cu 0.5000 0.0000 0.7500 1
Si1 Si 0.0000 0.0000 0.3794 1
Si2 Si 0.0000 0.0000 0.6206 1
Si3 Si 0.5000 0.5000 0.1206 1
Si4 Si 0.5000 0.5000 0.8794 1
```


3.
This entry pairs a crystal structure of SrCaCeTiO6 with its calculated PXRD pattern. Radiation: Cu Kα X-rays. Structure: a GGA-PBE-relaxed structure.
Kinematic intensities with the Lorentz-polarization factor, no thermal factor.

Peak list (6 most intense, 2θ from 5° to 70°, low angle first)
d/Å, 2θ (°), Rel. int.
4.807, 18.5, 23.0
2.943, 30.4, 100.0
2.510, 35.8, 17.6
2.081, 43.5, 37.8
1.699, 54.0, 38.8
1.472, 63.2, 22.2

Crystal structure
```
data_SrCaCeTiO6
_symmetry_space_group_name_H-M 'P 1'
_symmetry_Int_Tables_number 1
_cell_length_a 5.8868
_cell_length_b 5.8868
_cell_length_c 5.8868
_cell_angle_alpha 60.00
_cell_angle_beta 60.00
_cell_angle_gamma 60.00
loop_
_symmetry_equiv_pos_as_xyz
'x,y,z'
loop_
_atom_site_label
_atom_site_type_symbol
_atom_site_fract_x
_atom_site_fract_y
_atom_site_fract_z
_atom_site_occupancy
Sr1 Sr 0.0000 0.0000 0.0000 1
Ca1 Ca 0.5000 0.5000 0.5000 1
Ce1 Ce 0.7500 0.7500 0.7500 1
Ti1 Ti 0.2500 0.2500 0.2500 1
O1 O 0.0143 0.0143 0.4857 1
O2 O 0.0143 0.4857 0.0143 1
O3 O 0.0143 0.4857 0.4857 1
O4 O 0.4857 0.0143 0.0143 1
O5 O 0.4857 0.0143 0.4857 1
O6 O 0.4857 0.4857 0.0143 1
```


4.
This entry pairs a crystal structure of Tb3Ho with its calculated PXRD pattern. Radiation: Cu Kα X-rays. Structure: a GGA-PBE-relaxed structure.
Kinematic intensities with the Lorentz-polarization factor, no thermal factor.

Peak list (5 most intense, 2θ from 5° to 70°, low angle first)
d/Å, 2θ (°), Rel. int.
2.901, 30.8, 100.0
2.513, 35.7, 50.6
1.777, 51.4, 36.1
1.515, 61.2, 42.8
1.451, 64.2, 12.3

Crystal structure
```
data_Tb3Ho
_symmetry_space_group_name_H-M 'P 1'
_symmetry_Int_Tables_number 1
_cell_length_a 5.0251
_cell_length_b 5.0251
_cell_length_c 5.0251
_cell_angle_alpha 90.00
_cell_angle_beta 90.00
_cell_angle_gamma 90.00
loop_
_symmetry_equiv_pos_as_xyz
'x,y,z'
loop_
_atom_site_label
_atom_site_type_symbol
_atom_site_fract_x
_atom_site_fract_y
_atom_site_fract_z
_atom_site_occupancy
Tb1 Tb 0.0000 0.0000 0.5000 1
Tb2 Tb 0.0000 0.5000 0.0000 1
Tb3 Tb 0.5000 0.0000 0.0000 1
Ho1 Ho 0.5000 0.5000 0.5000 1
```